Record 1
# ZnHPd
Simulated powder X-ray diffraction pattern, Cu Kα X-rays. Input: DFT lattice parameters and positions (GGA-PBE).
Peak positions follow from Bragg's law for the DFT cell and can differ from measured ones.

Crystal structure
```
data_ZnHPd
_chemical_formula_sum 'Zn1 H1 Pd1'
_cell_length_a 3.0157
_cell_length_b 3.0157
_cell_length_c 4.2494
_cell_angle_alpha 90.00
_cell_angle_beta 90.00
_cell_angle_gamma 120.00
_symmetry_space_group_name_H-M 'P 3 m 1'
_symmetry_Int_Tables_number 156
_symmetry_space_group_name_Hall 'P 3 -2"'
loop_
_atom_site_label
_atom_site_fract_x
_atom_site_fract_y
_atom_site_fract_z
Zn1 0.0000 0.0000 0.0000
H1 0.3333 0.6667 0.3878
Pd1 0.6667 0.3333 0.5183
```

Peak list (7 most intense, 5 to 70 degrees two-theta, sorted by position)
two_theta	intensity	(hkl)
20.90	6	0 0 1
34.34	29	1 0 0
40.54	100	0 1 1
42.55	19	0 0 2
55.78	15	1 0 2
61.50	19	1 1 0
65.71	2	1 1 1

=====

Record 2
# ZnH4Pd8
Simulated powder X-ray diffraction pattern, Cu Kα X-rays. Input: DFT lattice parameters and positions (GGA-PBE).
Peak positions follow from Bragg's law for the DFT cell and can differ from measured ones.

Crystal structure
```
data_ZnH4Pd8
_chemical_formula_sum 'Zn1 H4 Pd8'
_cell_length_a 2.8811
_cell_length_b 7.4577
_cell_length_c 7.6287
_cell_angle_alpha 66.86
_cell_angle_beta 89.74
_cell_angle_gamma 78.91
_symmetry_space_group_name_H-M 'P -1'
_symmetry_Int_Tables_number 2
_symmetry_space_group_name_Hall '-P 1'
loop_
_atom_site_label
_atom_site_fract_x
_atom_site_fract_y
_atom_site_fract_z
Zn1 0.0000 0.0000 0.0000
H1 0.2886 0.4399 0.1872
H2 0.3532 0.2993 0.5559
Pd1 0.1424 0.7163 0.6629
Pd2 0.1839 0.6281 0.3263
Pd3 0.3384 0.3250 0.0008
Pd4 0.4842 0.0339 0.6845
```

Peak list (8 most intense, 5 to 70 degrees two-theta, sorted by position)
two_theta	intensity	(hkl)
37.01	32	0 3 1
38.62	76	0 0 3
40.36	100	1 2 2
40.52	54	-1 1 2
41.94	43	1 -1 1
42.14	43	1 2 -1
43.47	30	0 3 3
65.98	30	1 5 2

=====

Record 3
# ZnH4Pd6
Simulated powder X-ray diffraction pattern, Cu Kα X-rays. Input: DFT lattice parameters and positions (GGA-PBE).
Peak positions follow from Bragg's law for the DFT cell and can differ from measured ones.

Crystal structure
```
data_ZnH4Pd6
_chemical_formula_sum 'Zn2 H8 Pd12'
_cell_length_a 3.9465
_cell_length_b 13.2982
_cell_length_c 4.9492
_cell_angle_alpha 90.00
_cell_angle_beta 112.69
_cell_angle_gamma 90.00
_symmetry_space_group_name_H-M 'P 1 21/m 1'
_symmetry_Int_Tables_number 11
_symmetry_space_group_name_Hall '-P 2yb'
loop_
_atom_site_label
_atom_site_fract_x
_atom_site_fract_y
_atom_site_fract_z
Zn1 0.2154 0.2500 0.3987
H1 0.1649 0.1239 0.9093
H2 0.2742 0.5623 0.4928
Pd1 0.0000 0.0000 0.0000
Pd2 0.0814 0.7500 0.2012
Pd3 0.3098 0.0722 0.6094
Pd4 0.3868 0.6436 0.8015
```

Peak list (8 most intense, 5 to 70 degrees two-theta, sorted by position)
two_theta	intensity	(hkl)
36.60	93	1 4 0
36.78	100	1 4 -1
37.68	74	1 1 1
38.20	70	1 1 -2
39.20	70	0 5 1
40.03	52	1 2 -2
44.65	55	0 3 2
46.00	84	2 0 -1

=====

Record 4
# ZnHPd4
Simulated powder X-ray diffraction pattern, Cu Kα X-rays. Input: DFT lattice parameters and positions (GGA-PBE).
Peak positions follow from Bragg's law for the DFT cell and can differ from measured ones.

Crystal structure
```
data_ZnHPd4
_chemical_formula_sum 'Zn2 H2 Pd8'
_cell_length_a 4.3662
_cell_length_b 5.4078
_cell_length_c 7.0998
_cell_angle_alpha 90.00
_cell_angle_beta 107.47
_cell_angle_gamma 90.00
_symmetry_space_group_name_H-M 'P 1 21 1'
_symmetry_Int_Tables_number 4
_symmetry_space_group_name_Hall 'P 2yb'
loop_
_atom_site_label
_atom_site_fract_x
_atom_site_fract_y
_atom_site_fract_z
Zn1 0.0994 0.0000 0.2062
H1 0.4616 0.9781 0.7982
Pd1 0.0991 0.4912 0.2015
Pd2 0.2793 0.7841 0.5719
Pd3 0.3281 0.2915 0.6489
Pd4 0.4838 0.6827 0.9624
```

Peak list (8 most intense, 5 to 70 degrees two-theta, sorted by position)
two_theta	intensity	(hkl)
35.76	32	0 2 1
38.99	64	1 0 2
39.27	64	1 0 -3
39.77	100	1 2 -1
41.36	71	2 0 -1
42.80	47	0 2 2
44.14	20	1 2 1
44.29	21	1 2 -2

=====

Record 5
# ZnH2Pd5
Simulated powder X-ray diffraction pattern, Cu Kα X-rays. Input: DFT lattice parameters and positions (GGA-PBE).
Peak positions follow from Bragg's law for the DFT cell and can differ from measured ones.

Crystal structure
```
data_ZnH2Pd5
_chemical_formula_sum 'Zn2 H4 Pd10'
_cell_length_a 4.3982
_cell_length_b 5.5100
_cell_length_c 8.3007
_cell_angle_alpha 90.00
_cell_angle_beta 90.00
_cell_angle_gamma 90.00
_symmetry_space_group_name_H-M 'I m m m'
_symmetry_Int_Tables_number 71
_symmetry_space_group_name_Hall '-I 2 2'
loop_
_atom_site_label
_atom_site_fract_x
_atom_site_fract_y
_atom_site_fract_z
Zn1 0.0000 0.0000 0.0000
H1 0.0000 0.5000 0.2146
Pd1 0.0000 0.2457 0.3404
Pd2 0.0000 0.5000 0.0000
```

Peak list (8 most intense, 5 to 70 degrees two-theta, sorted by position)
two_theta	intensity	(hkl)
32.50	13	0 2 0
38.44	100	1 0 3
39.25	33	0 2 2
40.12	82	1 2 1
41.04	43	2 0 0
51.19	15	1 2 3
55.43	19	0 2 4
58.09	21	2 2 2

=====

Record 6
# ZnH5Pd5
Simulated powder X-ray diffraction pattern, Cu Kα X-rays. Input: DFT lattice parameters and positions (GGA-PBE).
Peak positions follow from Bragg's law for the DFT cell and can differ from measured ones.

Crystal structure
```
data_ZnH5Pd5
_chemical_formula_sum 'Zn1 H5 Pd5'
_cell_length_a 3.9093
_cell_length_b 5.5056
_cell_length_c 5.7609
_cell_angle_alpha 70.57
_cell_angle_beta 89.12
_cell_angle_gamma 69.50
_symmetry_space_group_name_H-M 'P -1'
_symmetry_Int_Tables_number 2
_symmetry_space_group_name_Hall '-P 1'
loop_
_atom_site_label
_atom_site_fract_x
_atom_site_fract_y
_atom_site_fract_z
Zn1 0.0000 0.0000 0.0000
H1 0.0164 0.6407 0.6103
H2 0.4448 0.6211 0.1193
H3 0.5000 0.0000 0.5000
Pd1 0.0000 0.0000 0.5000
Pd2 0.3340 0.3150 0.1600
Pd3 0.3406 0.2968 0.6699
```

Peak list (8 most intense, 5 to 70 degrees two-theta, sorted by position)
two_theta	intensity	(hkl)
35.93	100	1 -1 0
36.34	92	1 2 0
38.60	83	1 1 2
39.23	81	1 0 -2
40.49	66	0 2 2
43.77	57	0 1 -2
46.47	49	2 1 0
64.99	35	2 0 2